Entry 1:
For B3C, a cell relaxed with PBE gives the simulated X-ray powder pattern in this record (Cu Ka).

The 10 most intense peaks (2θ from 10° to 80°), by angle:
17.81°, I 47.0
20.07°, I 35.5
22.99°, I 56.9
23.17°, I 43.3
24.34°, I 100.0
29.69°, I 34.3
35.91°, I 25.8
36.06°, I 35.3
40.80°, I 28.0
52.82°, I 18.4

Structure:
```
B3C
1.0
4.1234 0.0000 0.0000
0.7312 4.5803 0.0000
1.8687 1.3378 4.9812
B C
9 3
direct
0.0000 0.0000 0.0000
0.0014 0.9876 0.6741
0.0345 0.3320 0.7229
0.4376 0.5148 0.2374
0.5276 0.0147 0.2140
0.5631 0.9266 0.7181
0.6776 0.3044 0.6476
0.7386 0.3440 0.0171
0.7516 0.7409 0.9676
0.3461 0.8543 0.0645
0.3866 0.8512 0.5296
0.3906 0.5067 0.5390
```



Entry 2:
For BC, a cell relaxed with PBE gives the simulated X-ray powder pattern in this record (Cu Ka).

The 10 most intense peaks (2θ from 10° to 80°), by angle:
12.81°, I 15.7
19.26°, I 3.7
39.10°, I 23.0
42.18°, I 100.0
44.77°, I 2.1
45.96°, I 2.0
48.21°, I 2.1
68.42°, I 22.3
72.69°, I 24.6
74.81°, I 3.4

Structure:
```
BC
1.0
2.6018 0.0000 0.0000
-1.3009 2.2532 0.0000
0.0000 0.0000 13.8235
B C
6 6
direct
0.0000 0.0000 0.0000
0.0000 0.0000 0.1225
0.0000 0.0000 0.6288
0.3333 0.6667 0.1991
0.3333 0.6667 0.7927
0.6667 0.3333 0.4701
0.0000 0.0000 0.5133
0.3333 0.6667 0.3148
0.3333 0.6667 0.6789
0.6667 0.3333 0.3483
0.6667 0.3333 0.8451
0.6667 0.3333 0.9474
```



Entry 3:
For B5C, a cell relaxed with PBE gives the simulated X-ray powder pattern in this record (Cu Ka).

The 10 most intense peaks (2θ from 10° to 80°), by angle:
11.80°, I 21.4
23.72°, I 3.3
42.53°, I 100.0
49.28°, I 1.7
58.29°, I 1.3
61.84°, I 0.8
67.75°, I 35.4
69.11°, I 15.5
76.14°, I 5.3
76.65°, I 1.3

Structure:
```
B5C
1.0
2.3480 0.0000 0.0000
0.0000 2.3480 0.0000
0.0000 0.0000 15.0029
B C
10 2
direct
0.0000 0.0000 0.0000
0.0000 0.0000 0.3227
0.0000 0.0000 0.6773
0.0000 0.5000 0.0882
0.0000 0.5000 0.4118
0.5000 0.0000 0.5882
0.5000 0.0000 0.9118
0.5000 0.5000 0.1773
0.5000 0.5000 0.5000
0.5000 0.5000 0.8227
0.0000 0.5000 0.7500
0.5000 0.0000 0.2500
```



Entry 4:
For B5C7, a cell relaxed with PBE gives the simulated X-ray powder pattern in this record (Cu Ka).

The 10 most intense peaks (2θ from 10° to 80°), by angle:
21.12°, I 12.6
42.10°, I 93.9
42.39°, I 100.0
46.39°, I 8.4
46.66°, I 8.0
64.64°, I 5.8
69.74°, I 42.3
75.57°, I 13.0
76.32°, I 12.5
77.11°, I 12.2

Structure:
```
B5C7
1.0
2.4737 0.0000 0.0000
0.0000 2.4953 0.0000
0.0000 0.0000 12.6214
B C
5 7
direct
0.0000 0.0000 0.0000
0.0000 0.0000 0.3429
0.0000 0.5000 0.4485
0.5000 0.0000 0.2385
0.5000 0.0000 0.6136
0.0000 0.0000 0.7020
0.0000 0.5000 0.0860
0.0000 0.5000 0.7697
0.5000 0.0000 0.9132
0.5000 0.5000 0.1521
0.5000 0.5000 0.5327
0.5000 0.5000 0.8453
```



Entry 5:
For BC, a cell relaxed with PBE gives the simulated X-ray powder pattern in this record (Cu Ka).

The 10 most intense peaks (2θ from 10° to 80°), by angle:
11.85°, I 69.9
17.81°, I 69.1
23.82°, I 23.3
36.06°, I 5.5
40.87°, I 100.0
42.34°, I 33.1
43.15°, I 25.9
46.19°, I 3.7
69.74°, I 24.7
70.58°, I 32.6

Structure:
```
BC
1.0
2.6688 0.0000 0.0000
-1.3344 2.3113 0.0000
0.0000 0.0000 14.9425
B C
6 6
direct
0.0000 0.0000 0.0000
0.0000 0.0000 0.2695
0.0000 0.0000 0.6997
0.3333 0.6667 0.3821
0.3333 0.6667 0.8386
0.6667 0.3333 0.4480
0.0000 0.0000 0.5836
0.3333 0.6667 0.2771
0.3333 0.6667 0.7326
0.6667 0.3333 0.5542
0.6667 0.3333 0.8839
0.6667 0.3333 0.9876
```



Entry 6:
For B5C7, a cell relaxed with PBE gives the simulated X-ray powder pattern in this record (Cu Ka).

The 10 most intense peaks (2θ from 10° to 80°), by angle:
14.78°, I 5.3
37.51°, I 7.1
40.57°, I 94.9
42.96°, I 100.0
45.42°, I 4.9
69.97°, I 47.1
70.36°, I 14.6
72.26°, I 3.4
76.41°, I 4.6
77.01°, I 11.2

Structure:
```
B5C7
1.0
2.4765 0.0000 0.0000
0.0000 2.6760 0.0000
0.0000 0.0000 11.9890
B C
5 7
direct
0.0000 0.0000 0.0000
0.0000 0.0000 0.3294
0.0000 0.5000 0.6147
0.5000 0.0000 0.4543
0.5000 0.5000 0.1664
0.0000 0.0000 0.6958
0.0000 0.5000 0.2677
0.0000 0.5000 0.9175
0.5000 0.0000 0.0946
0.5000 0.0000 0.7675
0.5000 0.5000 0.5184
0.5000 0.5000 0.8463
```



Entry 7:
For B5C7, a cell relaxed with PBE gives the simulated X-ray powder pattern in this record (Cu Ka).

The 10 most intense peaks (2θ from 10° to 80°), by angle:
15.11°, I 36.9
17.53°, I 13.3
19.73°, I 31.4
30.70°, I 14.3
40.08°, I 39.5
41.24°, I 100.0
42.69°, I 43.4
67.88°, I 16.0
71.41°, I 15.8
71.56°, I 25.0

Structure:
```
B5C7
1.0
6.1051 -1.3210 0.0000
6.1051 1.3210 0.0000
-1.4661 0.0000 5.0588
B C
5 7
direct
0.0000 0.0000 0.0000
0.0029 0.0029 0.6128
0.3032 0.3032 0.7431
0.6432 0.6432 0.9030
0.8537 0.8537 0.3921
0.2130 0.2130 0.4481
0.2379 0.2379 0.9703
0.2959 0.2959 0.2597
0.5615 0.5615 0.1104
0.5652 0.5652 0.5890
0.6360 0.6360 0.3950
0.8928 0.8928 0.7359
```



Entry 8:
For B3C, a cell relaxed with PBE gives the simulated X-ray powder pattern in this record (Cu Ka).

The 10 most intense peaks (2θ from 10° to 80°), by angle:
15.25°, I 64.3
22.75°, I 19.3
23.49°, I 42.2
27.50°, I 43.5
30.77°, I 23.4
38.76°, I 93.6
40.71°, I 100.0
64.15°, I 20.0
67.24°, I 34.2
68.17°, I 32.8

Structure:
```
B3C
1.0
2.0082 -5.8107 0.0000
2.0082 5.8107 0.0000
-0.2806 0.0000 3.9082
B C
9 3
direct
0.0000 0.0000 0.0000
0.0343 0.5733 0.6932
0.2114 0.3667 0.2923
0.3566 0.1637 0.7321
0.4267 0.9657 0.3068
0.4908 0.5092 0.0000
0.6333 0.7886 0.7077
0.8363 0.6434 0.2679
0.9891 0.0109 0.5000
0.1634 0.8366 0.0000
0.3269 0.6731 0.5000
0.6730 0.3270 0.5000
```



Entry 9:
For BC, a cell relaxed with PBE gives the simulated X-ray powder pattern in this record (Cu Ka).

The 10 most intense peaks (2θ from 10° to 80°), by angle:
13.70°, I 74.3
18.36°, I 32.9
24.63°, I 11.4
40.56°, I 100.0
41.87°, I 46.3
43.19°, I 30.4
67.41°, I 17.3
69.32°, I 25.8
72.84°, I 13.6
75.63°, I 12.5

Structure:
```
BC
1.0
6.5421 -1.2984 0.0000
6.5421 1.2984 0.0000
-0.7467 0.0000 4.8314
B C
6 6
direct
0.0000 0.0000 0.0000
0.0072 0.0072 0.5576
0.2226 0.2226 0.8154
0.3220 0.3220 0.2792
0.8841 0.8841 0.6310
0.9146 0.9146 0.2460
0.2142 0.2142 0.3584
0.3106 0.3106 0.6306
0.5819 0.5819 0.5621
0.5827 0.5827 0.0454
0.6470 0.6470 0.3320
0.6551 0.6551 0.8364
```



Entry 10:
For B5C7, a cell relaxed with PBE gives the simulated X-ray powder pattern in this record (Cu Ka).

The 10 most intense peaks (2θ from 10° to 80°), by angle:
22.72°, I 16.7
41.31°, I 85.1
41.44°, I 87.0
42.15°, I 81.8
42.81°, I 100.0
69.61°, I 24.1
69.95°, I 24.4
70.72°, I 46.5
72.45°, I 22.3
75.53°, I 18.9

Structure:
```
B5C7
1.0
4.5577 0.0000 0.0000
-2.1615 4.0153 0.0000
-1.0241 -1.7578 4.2875
B C
5 7
direct
0.0000 0.0000 0.0000
0.1078 0.0853 0.4102
0.2634 0.8784 0.8540
0.5687 0.5721 0.8547
0.6886 0.3225 0.0283
0.1600 0.7869 0.4917
0.3065 0.6191 0.0126
0.4403 0.7515 0.3699
0.4972 0.4785 0.4819
0.7692 0.4097 0.3884
0.8052 0.1296 0.5064
0.9424 0.2633 0.8636
```



Entry 11:
For B5C7, a cell relaxed with PBE gives the simulated X-ray powder pattern in this record (Cu Ka).

The 10 most intense peaks (2θ from 10° to 80°), by angle:
19.92°, I 13.1
40.47°, I 44.5
42.00°, I 100.0
42.28°, I 59.0
69.31°, I 11.0
69.81°, I 14.1
70.64°, I 13.8
71.05°, I 14.1
72.28°, I 12.0
73.23°, I 10.9

Structure:
```
B5C7
1.0
4.4744 0.0000 0.0000
-2.1828 3.9810 0.0000
-0.8798 -1.4056 4.4581
B C
5 7
direct
0.0000 0.0000 0.0000
0.0022 0.7115 0.1960
0.3457 0.6161 0.9904
0.4962 0.4850 0.5337
0.6875 0.0412 0.1911
0.1672 0.8302 0.5476
0.1837 0.5267 0.6483
0.3910 0.3617 0.1596
0.5369 0.1909 0.6704
0.6690 0.3187 0.0172
0.8215 0.1592 0.5461
0.8749 0.8760 0.6494
```



Entry 12:
For B3C, a cell relaxed with PBE gives the simulated X-ray powder pattern in this record (Cu Ka).

The 10 most intense peaks (2θ from 10° to 80°), by angle:
21.35°, I 34.0
25.44°, I 17.9
30.75°, I 31.7
36.92°, I 86.1
38.43°, I 16.4
40.98°, I 100.0
42.66°, I 20.5
42.81°, I 43.5
67.52°, I 16.5
72.66°, I 26.5

Structure:
```
B3C
1.0
2.5805 -4.0072 0.0000
2.5805 4.0072 0.0000
-1.4830 0.0000 4.2244
B C
9 3
direct
0.0000 0.0000 0.0000
0.0717 0.6648 0.9888
0.1984 0.9706 0.3447
0.2920 0.6251 0.4721
0.5415 0.5415 0.0074
0.6251 0.2920 0.4721
0.6648 0.0717 0.9888
0.9076 0.9076 0.5887
0.9706 0.1984 0.3447
0.3578 0.7040 0.8443
0.6018 0.6018 0.3725
0.7040 0.3578 0.8443
```